Starting from a cell relaxed with PBE, the XRD peak list of Cu9As2 was computed for copper Kα.

Crystal structure
```
Cu9As2
1.0
2.639 0.000 0.000
-1.320 2.286 0.000
0.000 0.000 31.869
Cu As
9 2
Direct
0.000 0.000 0.000 Cu
0.000 0.000 0.189 Cu
0.000 0.000 0.811 Cu
0.333 0.667 0.126 Cu
0.333 0.667 0.748 Cu
0.333 0.667 0.937 Cu
0.667 0.333 0.063 Cu
0.667 0.333 0.252 Cu
0.667 0.333 0.874 Cu
0.333 0.667 0.320 As
0.667 0.333 0.680 As
```

Main lines, most intense first (10° ≤ 2θ ≤ 80°):
d = 2.151 Å, rel. 100.0
d = 1.857 Å, rel. 44.6
d = 1.794 Å, rel. 40.4
d = 2.099 Å, rel. 37.8
d = 1.992 Å, rel. 25.7
d = 1.319 Å, rel. 25.6
d = 1.264 Å, rel. 17.5
d = 2.125 Å, rel. 11.7
d = 6.374 Å, rel. 7.5
d = 2.234 Å, rel. 6.4